Sc2SiB2Ir5: calculated powder diffractogram (Cu Kα), based on a cell relaxed with GGA-PBE.
Intensities are scaled so that the largest is 100.

Principal peaks in the range 10 to 90 degrees two-theta, low angle first:
(hkl)  2theta  I (rel.)
0 0 1  28.5  100.0
3 1 0  30.6  50.0
3 2 0  35.0  48.1
2 1 1  36.0  46.5
4 1 0  40.2  79.6
3 1 1  42.3  93.0
4 2 0  43.8  37.2
3 2 1  45.7  58.1
4 1 1  50.0  46.9
7 1 1  79.4  40.3

Cell and atoms:
```
data_Sc2SiB2Ir5
_cell_length_a 9.2469
_cell_length_b 9.2469
_cell_length_c 3.1339
_cell_angle_alpha 90.00
_cell_angle_beta 90.00
_cell_angle_gamma 90.00
_space_group_name_H-M_alt 'P 4/m b m'
_space_group_IT_number 127
_space_group_name_Hall '-P 4 2ab'
loop_
_atom_site_label
_atom_site_type_symbol
_atom_site_fract_x
_atom_site_fract_y
_atom_site_fract_z
_atom_site_occupancy
Sc1 Sc 0.1754 0.3246 0.0000 1
Si1 Si 0.0000 0.0000 0.0000 1
B1 B 0.1235 0.6235 0.0000 1
Ir1 Ir 0.0000 0.5000 0.5000 1
Ir2 Ir 0.0702 0.7877 0.5000 1
```


Cs3ZnI5: calculated powder diffractogram (Cu Kα), based on a cell relaxed with GGA-PBE.
Intensities are scaled so that the largest is 100.

Principal peaks in the range 10 to 90 degrees two-theta, low angle first:
(hkl)  2theta  I (rel.)
2 2 1  23.7  100.0
2 0 3  24.6  83.4
1 0 4  24.8  57.5
1 3 1  25.0  27.3
2 2 2  25.8  70.5
0 2 4  27.8  46.5
0 4 0  30.4  45.1
3 2 2  32.4  20.3
5 2 1  47.3  21.0
4 2 5  48.8  28.4

Cell and atoms:
```
data_Cs3ZnI5
_cell_length_a 10.2621
_cell_length_b 11.7655
_cell_length_c 15.3341
_cell_angle_alpha 90.00
_cell_angle_beta 90.00
_cell_angle_gamma 90.00
_space_group_name_H-M_alt 'P n m a'
_space_group_IT_number 62
_space_group_name_Hall '-P 2ac 2n'
loop_
_atom_site_label
_atom_site_type_symbol
_atom_site_fract_x
_atom_site_fract_y
_atom_site_fract_z
_atom_site_occupancy
Cs1 Cs 0.0815 0.0172 0.1724 1
Cs2 Cs 0.0855 0.2500 0.4520 1
Zn1 Zn 0.1868 0.2500 0.8930 1
I1 I 0.0319 0.7500 0.0139 1
I2 I 0.1374 0.2500 0.7248 1
I3 I 0.1675 0.7500 0.7365 1
I4 I 0.1883 0.5620 0.4361 1
```


Rb3BiCl6: calculated powder diffractogram (Cu Kα), based on a cell relaxed with GGA-PBE.
Intensities are scaled so that the largest is 100.

Principal peaks in the range 10 to 90 degrees two-theta, low angle first:
(hkl)  2theta  I (rel.)
1 1 1  13.2  25.8
2 0 0  15.2  27.8
2 2 0  21.6  100.0
4 0 0  30.7  62.3
4 2 2  37.8  47.6
4 4 0  43.9  43.4
6 2 0  49.5  24.5
6 4 2  59.3  27.9
8 4 0  72.5  18.1
10 2 0  84.8  15.9

Cell and atoms:
```
data_Rb3BiCl6
_cell_length_a 11.6555
_cell_length_b 11.6555
_cell_length_c 11.6555
_cell_angle_alpha 90.00
_cell_angle_beta 90.00
_cell_angle_gamma 90.00
_space_group_name_H-M_alt 'F m -3 m'
_space_group_IT_number 225
_space_group_name_Hall '-F 4 2 3'
loop_
_atom_site_label
_atom_site_type_symbol
_atom_site_fract_x
_atom_site_fract_y
_atom_site_fract_z
_atom_site_occupancy
Rb1 Rb 0.0000 0.0000 0.0000 1
Rb2 Rb 0.2500 0.2500 0.2500 1
Bi1 Bi 0.0000 0.0000 0.5000 1
Cl1 Cl 0.0000 0.0000 0.2670 1
```


NaYF4: calculated powder diffractogram (Cu Kα), based on a cell relaxed with GGA-PBE.
Intensities are scaled so that the largest is 100.

Principal peaks in the range 10 to 90 degrees two-theta, low angle first:
(hkl)  2theta  I (rel.)
0 1 1  15.0  23.8
0 0 2  16.9  90.3
2 0 -2  29.6  75.0
1 2 0  30.2  89.6
1 2 2  38.9  30.1
0 2 4  42.7  100.0
0 4 0  50.8  18.2
3 0 0  52.4  29.6
3 2 -4  52.8  65.1
0 4 2  53.9  17.5

Cell and atoms:
```
data_NaYF4
_cell_length_a 6.0509
_cell_length_b 7.1882
_cell_length_c 12.0766
_cell_angle_alpha 90.00
_cell_angle_beta 120.04
_cell_angle_gamma 90.00
_space_group_name_H-M_alt 'P 1 c 1'
_space_group_IT_number 7
_space_group_name_Hall 'P -2yc'
loop_
_atom_site_label
_atom_site_type_symbol
_atom_site_fract_x
_atom_site_fract_y
_atom_site_fract_z
_atom_site_occupancy
Na1 Na 0.0000 0.1627 0.0000 1
Na2 Na 0.0325 0.3374 0.5185 1
Na3 Na 0.6802 0.2465 0.6749 1
Y1 Y 0.3473 0.9996 0.3423 1
Y2 Y 0.3508 0.4977 0.8441 1
Y3 Y 0.6837 0.2522 0.1778 1
F1 F 0.1010 0.2498 0.2080 1
F2 F 0.1081 0.2506 0.7140 1
F3 F 0.3189 0.2517 0.9658 1
F4 F 0.3390 0.2510 0.4635 1
F5 F 0.3951 0.0251 0.1637 1
F6 F 0.3970 0.4810 0.1648 1
F7 F 0.6005 0.2476 0.8484 1
F8 F 0.6251 0.2506 0.3583 1
F9 F 0.7040 0.0246 0.0457 1
F10 F 0.7099 0.4780 0.0457 1
F11 F 0.9446 0.0189 0.3208 1
F12 F 0.9458 0.4784 0.3216 1
```


Tb2MgNb2O8: calculated powder diffractogram (Cu Kα), based on a cell relaxed with GGA-PBE.
Intensities are scaled so that the largest is 100.

Principal peaks in the range 10 to 90 degrees two-theta, low angle first:
(hkl)  2theta  I (rel.)
0 1 -1  23.0  17.4
1 1 1  26.4  54.7
1 -1 1  28.4  100.0
-1 1 1  29.9  39.7
0 2 0  32.5  39.0
2 0 0  33.3  26.6
1 0 2  35.2  16.3
1 0 -2  38.0  16.7
2 2 0  44.9  31.2
2 -2 0  49.6  13.7

Cell and atoms:
```
data_Tb2MgNb2O8
_cell_length_a 5.4284
_cell_length_b 5.5207
_cell_length_c 5.5329
_cell_angle_alpha 88.84
_cell_angle_beta 84.79
_cell_angle_gamma 84.52
_space_group_name_H-M_alt 'P 1'
_space_group_IT_number 1
_space_group_name_Hall 'P 1'
loop_
_atom_site_label
_atom_site_type_symbol
_atom_site_fract_x
_atom_site_fract_y
_atom_site_fract_z
_atom_site_occupancy
Tb1 Tb 0.0000 0.0000 0.0000 1
Tb2 Tb 0.0036 0.5064 0.4929 1
Mg1 Mg 0.5010 0.8583 0.1499 1
Nb1 Nb 0.4948 0.3736 0.0046 1
Nb2 Nb 0.5075 0.9970 0.6333 1
O1 O 0.2265 0.8095 0.6655 1
O2 O 0.2406 0.6433 0.1512 1
O3 O 0.2466 0.2869 0.7655 1
O4 O 0.3054 0.1654 0.2771 1
O5 O 0.6994 0.7307 0.8436 1
O6 O 0.7463 0.2465 0.7097 1
O7 O 0.7623 0.8520 0.3646 1
O8 O 0.7780 0.3371 0.1884 1
```